The following is a calculated powder X-ray diffraction pattern of CdMo2O6. It was derived from a cell relaxed with GGA+U, using Cu Kα, 1.54184 Å.
Neutral-atom scattering factors, no anomalous dispersion.

Structural model:
Cell lengths 5.307, 5.307, 4.870 Å; angles 90.00, 90.00, 120.00 degrees
Element x y z (fractional)
Cd 0.000 0.000 0.000
Mo 0.333 0.667 0.500
Mo 0.667 0.333 0.500
O 0.000 0.363 0.281
O 0.000 0.637 0.719
O 0.363 0.000 0.281
O 0.363 0.363 0.719
O 0.637 0.000 0.719
O 0.637 0.637 0.281

Most intense lines, 2θ = 5–70°, by intensity:
d = 3.342 Å, I = 100
d = 1.794 Å, I = 43
d = 2.654 Å, I = 40
d = 2.078 Å, I = 24
d = 1.531 Å, I = 24
d = 1.636 Å, I = 23
d = 4.870 Å, I = 10
d = 2.330 Å, I = 9
d = 2.435 Å, I = 7
d = 1.385 Å, I = 2